For Ca2AgRhC, a DFT-relaxed cell (PBE, Alexandria) gives the computed X-ray powder pattern in this record (CuKα).

Structure:
Lattice parameters (Å, degrees): 5.164 5.164 3.864 90.00 90.00 90.00
Positions (direct):
Ca1 0.000 0.500 0.000
Ca2 0.500 0.000 0.000
Ag1 0.000 0.000 0.500
Rh1 0.500 0.500 0.500
C1 0.500 0.500 0.000

Main lines, in order of rising 2θ (5° ≤ 2θ ≤ 70°):
(hkl)	d [Å]	I_rel
0 0 1	3.864	11
1 1 0	3.651	28
1 1 1	2.654	100
2 0 0	2.582	53
2 0 1	2.147	10
0 0 2	1.932	11
2 2 0	1.826	18
1 1 2	1.708	6
2 0 2	1.547	20
3 1 1	1.504	33